[1]
Calculated PXRD pattern
Compound: Li5Cd6Hg2
Radiation: Cu Kα
Structure: a DFT-relaxed cell (GGA-PBE, Alexandria)
Neutral-atom scattering factors, no anomalous dispersion.

Crystal structure
```
data_Li5Cd6Hg2
_space_group_name_H-M_alt 'P b a m'
_space_group_IT_number 55
_cell_length_a 9.814
_cell_length_b 17.243
_cell_length_c 3.101
_cell_angle_alpha 90.00
_cell_angle_beta 90.00
_cell_angle_gamma 90.00
loop_
_space_group_symop_operation_xyz
'x,y,z'
'-x,-y,-z'
'-x,-y,z'
'x,y,-z'
'x+1/2,-y+1/2,-z'
'-x+1/2,y+1/2,z'
'-x+1/2,y+1/2,-z'
'x+1/2,-y+1/2,z'
loop_
_atom_site_label
_atom_site_type_symbol
_atom_site_fract_x
_atom_site_fract_y
_atom_site_fract_z
Li1 Li 0.000 0.000 0.000
Li2 Li 0.089 0.273 0.000
Li3 Li 0.191 0.560 0.000
Cd1 Cd 0.064 0.422 0.500
Cd2 Cd 0.080 0.130 0.500
Cd3 Cd 0.184 0.876 0.000
Hg1 Hg 0.154 0.712 0.500
```

Peak list (8 most intense, 2θ from 10° to 80°, low angle first)
h k l	2θ (°)	I (rel.)
0 2 0	10.26	38
2 1 0	18.80	24
1 4 0	22.53	33
2 3 0	23.84	42
0 0 1	28.79	26
1 2 1	32.00	34
4 1 0	37.01	35
2 3 1	37.70	100



[2]
Calculated PXRD pattern
Compound: LiCd2Hg
Radiation: Cu Kα
Structure: a DFT-relaxed cell (GGA-PBE, Alexandria)
Neutral-atom scattering factors, no anomalous dispersion.

Crystal structure
```
data_LiCd2Hg
_space_group_name_H-M_alt 'F 2 2 2'
_space_group_IT_number 22
_space_group_name_Hall 'F 2 2'
_cell_length_a 6.472
_cell_length_b 6.600
_cell_length_c 7.796
_cell_angle_alpha 90.00
_cell_angle_beta 90.00
_cell_angle_gamma 90.00
loop_
_atom_site_label
_atom_site_type_symbol
_atom_site_fract_x
_atom_site_fract_y
_atom_site_fract_z
Li1 Li 0.000 0.000 0.000
Cd1 Cd 0.000 0.000 0.500
Cd2 Cd 0.250 0.250 0.750
Hg1 Hg 0.250 0.250 0.250
```

Peak list (8 most intense, 2θ from 10° to 80°, low angle first)
h k l	2θ (°)	I (rel.)
1 1 1	22.36	65
0 0 2	22.81	31
0 2 2	35.65	100
2 0 2	36.07	97
2 2 0	38.98	78
2 2 4	62.33	39
2 4 2	68.18	29
4 2 2	68.98	28



[3]
Calculated PXRD pattern
Compound: Li7Cd2Hg
Radiation: Cu Kα
Structure: a DFT-relaxed cell (GGA-PBE, Alexandria)
Neutral-atom scattering factors, no anomalous dispersion.

Crystal structure
```
data_Li7Cd2Hg
_space_group_name_H-M_alt 'P 3 m 1'
_space_group_IT_number 156
_cell_length_a 4.6433
_cell_length_b 4.6433
_cell_length_c 9.9390
_cell_angle_alpha 90.00
_cell_angle_beta 90.00
_cell_angle_gamma 120.00
loop_
_space_group_symop_operation_xyz
'x,y,z'
'-y,x-y,z'
'-x+y,-x,z'
'-y,-x,z'
'-x+y,y,z'
'x,x-y,z'
loop_
_atom_site_label
_atom_site_type_symbol
_atom_site_fract_x
_atom_site_fract_y
_atom_site_fract_z
Li1 Li 0.0000 0.0000 0.0000
Li2 Li 0.0000 0.0000 0.2376
Li3 Li 0.0000 0.0000 0.7584
Li4 Li 0.3333 0.6667 0.3934
Li5 Li 0.3333 0.6667 0.7684
Li6 Li 0.6667 0.3333 0.2151
Li7 Li 0.6667 0.3333 0.5936
Cd1 Cd 0.0000 0.0000 0.4982
Cd2 Cd 0.6667 0.3333 0.9031
Hg1 Hg 0.3333 0.6667 0.0948
```

Peak list (8 most intense, 2θ from 10° to 80°, low angle first)
h k l	2θ (°)	I (rel.)
0 0 2	17.85	21
1 0 1	23.87	100
0 1 2	28.55	50
1 0 3	35.10	39
1 1 0	38.79	37
0 1 4	42.78	26
0 2 1	46.06	17
2 1 1	61.74	14



[4]
Calculated PXRD pattern
Compound: Li4Cd4Hg3
Radiation: Cu Kα
Structure: a DFT-relaxed cell (GGA-PBE, Alexandria)
Neutral-atom scattering factors, no anomalous dispersion.

Crystal structure
```
data_Li4Cd4Hg3
_space_group_name_H-M_alt 'P 1'
_space_group_IT_number 1
_cell_length_a 3.101
_cell_length_b 4.833
_cell_length_c 15.257
_cell_angle_alpha 81.01
_cell_angle_beta 90.00
_cell_angle_gamma 89.86
loop_
_space_group_symop_operation_xyz
'x,y,z'
loop_
_atom_site_label
_atom_site_type_symbol
_atom_site_fract_x
_atom_site_fract_y
_atom_site_fract_z
Li1 Li 0.000 0.000 0.000
Li2 Li 0.029 0.379 0.242
Li3 Li 0.527 0.728 0.544
Li4 Li 0.557 0.106 0.787
Cd1 Cd 0.021 0.644 0.712
Cd2 Cd 0.029 0.818 0.362
Cd3 Cd 0.527 0.288 0.424
Cd4 Cd 0.537 0.462 0.074
Hg1 Hg 0.031 0.198 0.604
Hg2 Hg 0.273 0.553 0.893
Hg3 Hg 0.525 0.909 0.182
```

Peak list (8 most intense, 2θ from 10° to 80°, low angle first)
h k l	2θ (°)	I (rel.)
0 1 2	20.39	100
0 0 4	23.62	30
1 0 -1	29.40	40
1 0 3	33.98	25
0 2 1	37.21	38
1 1 -2	37.52	47
-1 1 3	37.60	26
0 1 6	37.74	62



[5]
Calculated PXRD pattern
Compound: LiCd8Hg6
Radiation: Cu Kα
Structure: a DFT-relaxed cell (GGA-PBE, Alexandria)
Neutral-atom scattering factors, no anomalous dispersion.

Crystal structure
```
data_LiCd8Hg6
_space_group_name_H-M_alt 'R -3'
_space_group_IT_number 148
_space_group_name_Hall '-R 3'
_cell_length_a 8.4365
_cell_length_b 8.4365
_cell_length_c 18.1881
_cell_angle_alpha 90.00
_cell_angle_beta 90.00
_cell_angle_gamma 120.00
loop_
_atom_site_label
_atom_site_type_symbol
_atom_site_fract_x
_atom_site_fract_y
_atom_site_fract_z
Li1 Li 0.0000 0.0000 0.0000
Cd1 Cd 0.0000 0.0000 0.3354
Cd2 Cd 0.0073 0.6825 0.4481
Hg1 Hg 0.0089 0.6864 0.9424
```

Peak list (8 most intense, 2θ from 10° to 80°, low angle first)
h k l	2θ (°)	I (rel.)
1 1 0	21.06	40
2 -1 3	25.73	19
2 -1 6	36.50	100
3 0 0	36.91	85
2 2 6	52.88	32
1 1 12	65.43	17
5 -1 6	66.23	31
3 3 0	66.50	13



[6]
Calculated PXRD pattern
Compound: Li8Cd2Hg
Radiation: Cu Kα
Structure: a DFT-relaxed cell (GGA-PBE, Alexandria)
Neutral-atom scattering factors, no anomalous dispersion.

Crystal structure
```
data_Li8Cd2Hg
_space_group_name_H-M_alt 'C 1 2/m 1'
_space_group_IT_number 12
_cell_length_a 14.918
_cell_length_b 4.441
_cell_length_c 6.167
_cell_angle_alpha 90.00
_cell_angle_beta 102.42
_cell_angle_gamma 90.00
loop_
_space_group_symop_operation_xyz
'x,y,z'
'-x,-y,-z'
'-x,y,-z'
'x,-y,z'
'x+1/2,y+1/2,z'
'-x+1/2,-y+1/2,-z'
'-x+1/2,y+1/2,-z'
'x+1/2,-y+1/2,z'
loop_
_atom_site_label
_atom_site_type_symbol
_atom_site_fract_x
_atom_site_fract_y
_atom_site_fract_z
Li1 Li 0.040 0.000 0.238
Li2 Li 0.095 0.500 0.947
Li3 Li 0.142 0.000 0.675
Li4 Li 0.177 0.500 0.405
Cd1 Cd 0.219 0.000 0.142
Hg1 Hg 0.000 0.500 0.500
```

Peak list (8 most intense, 2θ from 10° to 80°, low angle first)
h k l	2θ (°)	I (rel.)
2 0 -1	16.96	53
2 0 1	21.06	74
4 0 0	24.44	42
1 1 -1	24.88	100
3 1 0	27.21	52
5 1 -1	37.24	49
3 1 -2	37.51	28
1 1 2	37.68	50